(1)
The following is a computed PXRD pattern of KBaFe. It was derived from the GGA-PBE geometry in Alexandria, using λ = 1.5418 Å (Cu Kα).
Kinematic intensities with the Lorentz-polarization factor, no thermal factor.

Structural model:
```
data_KBaFe
_symmetry_space_group_name_H-M 'P 3 m 1'
_symmetry_Int_Tables_number 156
_cell_length_a 4.2983
_cell_length_b 4.2983
_cell_length_c 8.5038
_cell_angle_alpha 90.00
_cell_angle_beta 90.00
_cell_angle_gamma 120.00
loop_
_symmetry_equiv_pos_as_xyz
'x,y,z'
'-y,x-y,z'
'-x+y,-x,z'
'-y,-x,z'
'-x+y,y,z'
'x,x-y,z'
loop_
_atom_site_label
_atom_site_type_symbol
_atom_site_fract_x
_atom_site_fract_y
_atom_site_fract_z
K1 K 0.0000 0.0000 0.0000
Ba1 Ba 0.6667 0.3333 0.4806
Fe1 Fe 0.3333 0.6667 0.7189
```

Main lines, by angle (10° ≤ 2θ ≤ 90°):
hkl 0 0 1, d 8.504, 10.40 deg, rel. 574
hkl 1 0 0, d 3.722, 23.90 deg, rel. 148
hkl 1 0 1, d 3.410, 26.13 deg, rel. 1000
hkl 0 1 2, d 2.801, 31.95 deg, rel. 578
hkl 0 1 3, d 2.255, 39.98 deg, rel. 315
hkl 1 1 0, d 2.149, 42.04 deg, rel. 260
hkl 0 2 1, d 1.818, 50.18 deg, rel. 158
hkl 1 1 4, d 1.511, 61.34 deg, rel. 152

=====

(2)
The following is a computed PXRD pattern of RbPrH6Pd2. It was derived from the GGA-PBE geometry in Alexandria, using λ = 1.5418 Å (Cu Kα).
Kinematic intensities with the Lorentz-polarization factor, no thermal factor.

Structural model:
```
data_RbPrH6Pd2
_symmetry_space_group_name_H-M 'C 1 2/c 1'
_symmetry_Int_Tables_number 15
_cell_length_a 9.4096
_cell_length_b 9.0889
_cell_length_c 7.9952
_cell_angle_alpha 90.00
_cell_angle_beta 114.28
_cell_angle_gamma 90.00
loop_
_symmetry_equiv_pos_as_xyz
'x,y,z'
'-x,-y,-z'
'-x,y,-z+1/2'
'x,-y,z+1/2'
'x+1/2,y+1/2,z'
'-x+1/2,-y+1/2,-z'
'-x+1/2,y+1/2,-z+1/2'
'x+1/2,-y+1/2,z+1/2'
loop_
_atom_site_label
_atom_site_type_symbol
_atom_site_fract_x
_atom_site_fract_y
_atom_site_fract_z
Rb1 Rb 0.0000 0.0758 0.2500
Pr1 Pr 0.0000 0.4494 0.7500
H1 H 0.0150 0.3478 0.4580
H2 H 0.1365 0.2109 0.9070
H3 H 0.2452 0.4348 0.2983
Pd1 Pd 0.1847 0.3234 0.1072
```

Main lines, by angle (10° ≤ 2θ ≤ 90°):
hkl 1 1 0, d 6.238, 14.20 deg, rel. 426
hkl 1 1 1, d 4.164, 21.34 deg, rel. 604
hkl 2 2 -1, d 3.239, 27.54 deg, rel. 1000
hkl 2 2 0, d 3.119, 28.62 deg, rel. 530
hkl 2 2 -2, d 2.823, 31.70 deg, rel. 354
hkl 4 0 -2, d 2.309, 39.01 deg, rel. 359
hkl 0 4 1, d 2.169, 41.63 deg, rel. 364
hkl 0 2 3, d 2.143, 42.17 deg, rel. 352

=====

(3)
The following is a computed PXRD pattern of Sb4Pt. It was derived from the GGA-PBE geometry in Alexandria, using λ = 1.5418 Å (Cu Kα).
Kinematic intensities with the Lorentz-polarization factor, no thermal factor.

Structural model:
```
data_Sb4Pt
_symmetry_space_group_name_H-M 'C 1 2/c 1'
_symmetry_Int_Tables_number 15
_cell_length_a 10.2167
_cell_length_b 8.9890
_cell_length_c 7.3551
_cell_angle_alpha 90.00
_cell_angle_beta 117.73
_cell_angle_gamma 90.00
loop_
_symmetry_equiv_pos_as_xyz
'x,y,z'
'-x,-y,-z'
'-x,y,-z+1/2'
'x,-y,z+1/2'
'x+1/2,y+1/2,z'
'-x+1/2,-y+1/2,-z'
'-x+1/2,y+1/2,-z+1/2'
'x+1/2,-y+1/2,z+1/2'
loop_
_atom_site_label
_atom_site_type_symbol
_atom_site_fract_x
_atom_site_fract_y
_atom_site_fract_z
Sb1 Sb 0.1117 0.0815 0.1808
Sb2 Sb 0.1190 0.4032 0.9847
Pt1 Pt 0.0000 0.3400 0.2500
```

Main lines, by angle (10° ≤ 2θ ≤ 90°):
hkl 2 0 0, d 4.522, 19.63 deg, rel. 330
hkl 1 1 1, d 3.953, 22.49 deg, rel. 1000
hkl 3 1 -2, d 2.863, 31.24 deg, rel. 747
hkl 1 3 1, d 2.476, 36.28 deg, rel. 418
hkl 0 4 0, d 2.249, 40.10 deg, rel. 351
hkl 4 2 -1, d 2.206, 40.91 deg, rel. 218
hkl 2 2 -3, d 2.152, 41.98 deg, rel. 511
hkl 0 4 1, d 2.125, 42.54 deg, rel. 294

=====

(4)
The following is a computed PXRD pattern of Tl3Sn4. It was derived from the GGA-PBE geometry in Alexandria, using λ = 1.5418 Å (Cu Kα).
Kinematic intensities with the Lorentz-polarization factor, no thermal factor.

Structural model:
```
data_Tl3Sn4
_symmetry_space_group_name_H-M 'I 4/m m m'
_symmetry_Int_Tables_number 139
_symmetry_space_group_name_Hall '-I 4 2'
_cell_length_a 3.7479
_cell_length_b 3.7479
_cell_length_c 29.6148
_cell_angle_alpha 90.00
_cell_angle_beta 90.00
_cell_angle_gamma 90.00
loop_
_atom_site_label
_atom_site_type_symbol
_atom_site_fract_x
_atom_site_fract_y
_atom_site_fract_z
Tl1 Tl 0.0000 0.0000 0.0000
Tl2 Tl 0.0000 0.0000 0.2915
Sn1 Sn 0.0000 0.0000 0.1358
Sn2 Sn 0.0000 0.0000 0.4225
```

Main lines, by angle (10° ≤ 2θ ≤ 90°):
hkl 1 0 3, d 3.504, 25.42 deg, rel. 100
hkl 1 0 7, d 2.805, 31.90 deg, rel. 1000
hkl 1 1 0, d 2.650, 33.82 deg, rel. 456
hkl 0 0 14, d 2.115, 42.75 deg, rel. 94
hkl 2 0 0, d 1.874, 48.58 deg, rel. 168
hkl 1 1 14, d 1.653, 55.59 deg, rel. 200
hkl 2 1 7, d 1.558, 59.30 deg, rel. 354
hkl 2 0 14, d 1.403, 66.68 deg, rel. 104

=====

What is the formula in the second record?
RbPrH6Pd2